1.
Theoretical powder diffraction line list
Compound: NdCu3Sb3
Radiation: Cu Kα
Structure: a GGA-PBE-relaxed structure

Structural model:
Lattice parameters (Å, degrees): 7.068 7.068 7.068 90.00 90.00 90.00
Sites, in units of the cell vectors:
1 Nd 0.000 0.000 0.000
2 Nd 0.500 0.500 0.500
3 Cu 0.000 0.250 0.500
4 Cu 0.000 0.750 0.500
5 Cu 0.250 0.500 0.000
6 Cu 0.500 0.000 0.250
7 Cu 0.500 0.000 0.750
8 Cu 0.750 0.500 0.000
9 Sb 0.000 0.500 0.250
10 Sb 0.000 0.500 0.750
11 Sb 0.250 0.000 0.500
12 Sb 0.500 0.250 0.000
13 Sb 0.500 0.750 0.000
14 Sb 0.750 0.000 0.500

Top 10 peaks for 10° ≤ 2θ ≤ 90°, most intense first:
- 31.0°, intensity 100
- 48.2°, intensity 58
- 25.2°, intensity 42
- 51.7°, intensity 26
- 44.4°, intensity 20
- 84.5°, intensity 17
- 76.2°, intensity 16
- 58.4°, intensity 16
- 73.4°, intensity 16
- 61.5°, intensity 14



2.
Theoretical powder diffraction line list
Compound: Nd8CuSb2
Radiation: Cu Kα
Structure: a GGA-PBE-relaxed structure

Structural model:
Lattice parameters (Å, degrees): 9.955 9.955 7.435 99.04 99.04 28.19
Sites, in units of the cell vectors:
1 Nd 0.009 0.009 0.280
2 Nd 0.215 0.215 0.845
3 Nd 0.347 0.347 0.473
4 Nd 0.406 0.406 0.996
5 Nd 0.594 0.594 0.004
6 Nd 0.653 0.653 0.527
7 Nd 0.785 0.785 0.155
8 Nd 0.991 0.991 0.720
9 Cu 0.500 0.500 0.500
10 Sb 0.181 0.181 0.267
11 Sb 0.819 0.819 0.733

Top 10 peaks for 10° ≤ 2θ ≤ 90°, most intense first:
- 30.3°, intensity 100
- 29.8°, intensity 56
- 37.1°, intensity 40
- 33.7°, intensity 21
- 28.8°, intensity 17
- 27.2°, intensity 17
- 33.1°, intensity 17
- 57.8°, intensity 15
- 38.2°, intensity 14
- 34.2°, intensity 13



3.
Theoretical powder diffraction line list
Compound: Nd5Cu2Sb
Radiation: Cu Kα
Structure: a GGA-PBE-relaxed structure

Structural model:
Lattice parameters (Å, degrees): 8.788 8.788 8.788 124.25 124.25 82.79
Sites, in units of the cell vectors:
1 Nd 0.000 0.000 0.000
2 Nd 0.012 0.512 0.809
3 Nd 0.203 0.012 0.500
4 Nd 0.297 0.797 0.809
5 Nd 0.488 0.297 0.500
6 Nd 0.500 0.500 0.000
7 Nd 0.512 0.703 0.500
8 Nd 0.703 0.203 0.191
9 Nd 0.797 0.988 0.500
10 Nd 0.988 0.488 0.191
11 Cu 0.131 0.369 0.500
12 Cu 0.369 0.869 0.238
13 Cu 0.631 0.131 0.762
14 Cu 0.869 0.631 0.500
15 Sb 0.250 0.250 0.000
16 Sb 0.750 0.750 0.000

Top 10 peaks for 10° ≤ 2θ ≤ 90°, most intense first:
- 31.7°, intensity 100
- 34.5°, intensity 69
- 34.9°, intensity 30
- 31.2°, intensity 28
- 25.2°, intensity 22
- 55.0°, intensity 19
- 64.7°, intensity 18
- 54.7°, intensity 17
- 67.3°, intensity 13
- 52.5°, intensity 13



4.
Theoretical powder diffraction line list
Compound: Nd4Cu3Sb8
Radiation: Cu Kα
Structure: a GGA-PBE-relaxed structure

Structural model:
Lattice parameters (Å, degrees): 4.394 4.394 19.790 90.00 90.00 90.00
Sites, in units of the cell vectors:
1 Nd 0.000 0.500 0.117
2 Nd 0.000 0.500 0.627
3 Nd 0.500 0.000 0.373
4 Nd 0.500 0.000 0.883
5 Cu 0.000 0.000 0.000
6 Cu 0.000 0.000 0.500
7 Cu 0.500 0.500 0.500
8 Sb 0.000 0.000 0.245
9 Sb 0.000 0.000 0.755
10 Sb 0.000 0.500 0.422
11 Sb 0.000 0.500 0.932
12 Sb 0.500 0.000 0.068
13 Sb 0.500 0.000 0.578
14 Sb 0.500 0.500 0.245
15 Sb 0.500 0.500 0.755

Top 10 peaks for 10° ≤ 2θ ≤ 90°, most intense first:
- 34.1°, intensity 100
- 41.1°, intensity 37
- 70.4°, intensity 21
- 30.1°, intensity 19
- 27.1°, intensity 13
- 49.9°, intensity 13
- 50.6°, intensity 13
- 59.5°, intensity 12
- 54.3°, intensity 12
- 67.1°, intensity 11



5.
Theoretical powder diffraction line list
Compound: Nd4ScCu5
Radiation: Cu Kα
Structure: a GGA-PBE-relaxed structure

Structural model:
Lattice parameters (Å, degrees): 3.500 3.500 17.880 90.00 90.00 90.00
Sites, in units of the cell vectors:
1 Nd 0.000 0.000 0.103
2 Nd 0.000 0.000 0.310
3 Nd 0.000 0.000 0.690
4 Nd 0.000 0.000 0.897
5 Sc 0.000 0.000 0.500
6 Cu 0.500 0.500 0.000
7 Cu 0.500 0.500 0.206
8 Cu 0.500 0.500 0.422
9 Cu 0.500 0.500 0.578
10 Cu 0.500 0.500 0.794

Top 10 peaks for 10° ≤ 2θ ≤ 90°, most intense first:
- 35.9°, intensity 100
- 36.3°, intensity 54
- 65.1°, intensity 34
- 52.3°, intensity 18
- 64.3°, intensity 13
- 25.5°, intensity 11
- 32.5°, intensity 11
- 88.3°, intensity 8
- 76.1°, intensity 8
- 88.1°, intensity 7



6.
Theoretical powder diffraction line list
Compound: NdSc3Cu4
Radiation: Cu Kα
Structure: a GGA-PBE-relaxed structure

Structural model:
Lattice parameters (Å, degrees): 9.466 6.704 4.730 90.00 90.00 90.00
Sites, in units of the cell vectors:
1 Nd 0.000 0.000 0.000
2 Nd 0.500 0.000 0.000
3 Sc 0.000 0.500 0.000
4 Sc 0.250 0.000 0.499
5 Sc 0.250 0.500 0.496
6 Sc 0.500 0.500 0.000
7 Sc 0.750 0.000 0.501
8 Sc 0.750 0.500 0.504
9 Cu 0.000 0.278 0.500
10 Cu 0.000 0.722 0.500
11 Cu 0.250 0.278 0.994
12 Cu 0.250 0.722 0.994
13 Cu 0.500 0.278 0.500
14 Cu 0.500 0.722 0.500
15 Cu 0.750 0.278 0.006
16 Cu 0.750 0.722 0.006

Top 10 peaks for 10° ≤ 2θ ≤ 90°, most intense first:
- 38.0°, intensity 100
- 68.7°, intensity 29
- 54.9°, intensity 11
- 29.8°, intensity 9
- 23.0°, intensity 8
- 81.3°, intensity 7
- 18.8°, intensity 6
- 54.8°, intensity 4
- 44.9°, intensity 4
- 56.7°, intensity 4



7.
Theoretical powder diffraction line list
Compound: Nd2ScZn12Cu3
Radiation: Cu Kα
Structure: a GGA-PBE-relaxed structure

Structural model:
Lattice parameters (Å, degrees): 10.229 10.229 10.229 36.44 36.44 36.44
Sites, in units of the cell vectors:
1 Nd 0.142 0.142 0.142
2 Nd 0.858 0.858 0.858
3 Sc 0.500 0.500 0.500
4 Zn 0.046 0.622 0.622
5 Zn 0.180 0.180 0.779
6 Zn 0.180 0.779 0.180
7 Zn 0.221 0.820 0.820
8 Zn 0.378 0.378 0.954
9 Zn 0.378 0.954 0.378
10 Zn 0.622 0.046 0.622
11 Zn 0.622 0.622 0.046
12 Zn 0.779 0.180 0.180
13 Zn 0.820 0.221 0.820
14 Zn 0.820 0.820 0.221
15 Zn 0.954 0.378 0.378
16 Cu 0.000 0.500 0.500
17 Cu 0.500 0.000 0.500
18 Cu 0.500 0.500 0.000

Top 10 peaks for 10° ≤ 2θ ≤ 90°, most intense first:
- 29.5°, intensity 100
- 32.5°, intensity 83
- 38.2°, intensity 80
- 35.3°, intensity 76
- 36.0°, intensity 70
- 57.7°, intensity 62
- 39.3°, intensity 57
- 45.1°, intensity 53
- 53.2°, intensity 37
- 45.6°, intensity 34



8.
Theoretical powder diffraction line list
Compound: Nd3CuSe6
Radiation: Cu Kα
Structure: a GGA-PBE-relaxed structure

Structural model:
Lattice parameters (Å, degrees): 8.986 8.986 7.184 90.00 90.00 99.03
Sites, in units of the cell vectors:
1 Nd 0.092 0.908 0.500
2 Nd 0.205 0.405 0.372
3 Nd 0.405 0.205 0.872
4 Nd 0.595 0.795 0.372
5 Nd 0.795 0.595 0.872
6 Nd 0.908 0.092 0.000
7 Cu 0.291 0.709 0.794
8 Cu 0.709 0.291 0.294
9 Se 0.066 0.595 0.642
10 Se 0.114 0.201 0.691
11 Se 0.201 0.114 0.191
12 Se 0.339 0.661 0.120
13 Se 0.405 0.934 0.642
14 Se 0.478 0.522 0.664
15 Se 0.522 0.478 0.164
16 Se 0.595 0.066 0.142
17 Se 0.661 0.339 0.620
18 Se 0.799 0.886 0.691
19 Se 0.886 0.799 0.191
20 Se 0.934 0.405 0.142

Top 10 peaks for 10° ≤ 2θ ≤ 90°, most intense first:
- 23.6°, intensity 100
- 34.6°, intensity 74
- 32.7°, intensity 54
- 24.4°, intensity 51
- 40.3°, intensity 39
- 36.3°, intensity 30
- 39.5°, intensity 28
- 26.8°, intensity 25
- 45.5°, intensity 25
- 39.9°, intensity 23



9.
Theoretical powder diffraction line list
Compound: NdTl2Cu2Se4
Radiation: Cu Kα
Structure: a GGA-PBE-relaxed structure

Structural model:
Lattice parameters (Å, degrees): 7.863 7.863 8.065 107.65 107.65 29.89
Sites, in units of the cell vectors:
1 Nd 0.000 0.000 0.000
2 Tl 0.133 0.133 0.560
3 Tl 0.867 0.867 0.440
4 Cu 0.317 0.317 0.009
5 Cu 0.683 0.683 0.991
6 Se 0.205 0.205 0.178
7 Se 0.470 0.470 0.241
8 Se 0.530 0.530 0.759
9 Se 0.795 0.795 0.822

Top 10 peaks for 10° ≤ 2θ ≤ 90°, most intense first:
- 31.3°, intensity 100
- 33.3°, intensity 76
- 28.8°, intensity 57
- 30.5°, intensity 51
- 50.7°, intensity 47
- 37.0°, intensity 34
- 44.7°, intensity 33
- 28.2°, intensity 26
- 22.8°, intensity 23
- 41.0°, intensity 20